(1)
Theoretical XRD peak list
Compound: ZnNi10P3
Radiation: Cu Kα X-rays
Structure: a PBE-relaxed structure

Principal peaks in the range 15 to 90 degrees two-theta, low angle first:
- 2θ = 37.1°, I = 54
- 2θ = 39.7°, I = 33
- 2θ = 40.8°, I = 42
- 2θ = 41.9°, I = 52
- 2θ = 45.3°, I = 43
- 2θ = 45.4°, I = 52
- 2θ = 47.4°, I = 100
- 2θ = 47.6°, I = 78
- 2θ = 48.5°, I = 19
- 2θ = 69.4°, I = 17
- 2θ = 77.5°, I = 21
- 2θ = 88.4°, I = 37

Cell: 7.666 7.666 9.354 Å, 90.00 90.00 120.00°
Atoms (fractional coordinates):
Zn (0.000, 0.000, 0.000)
Zn (0.333, 0.667, 0.640)
Zn (0.667, 0.333, 0.360)
Ni (0.000, 0.000, 0.379)
Ni (0.000, 0.000, 0.621)
Ni (0.000, 0.340, 0.500)
Ni (0.000, 0.660, 0.500)
Ni (0.018, 0.509, 0.240)
Ni (0.140, 0.280, 0.794)
Ni (0.140, 0.860, 0.794)
Ni (0.182, 0.365, 0.066)
Ni (0.182, 0.818, 0.066)
Ni (0.280, 0.140, 0.206)
Ni (0.333, 0.667, 0.386)
Ni (0.333, 0.667, 0.903)
Ni (0.340, 0.000, 0.500)
Ni (0.340, 0.340, 0.500)
Ni (0.365, 0.182, 0.934)
Ni (0.491, 0.509, 0.240)
Ni (0.491, 0.982, 0.240)
Ni (0.509, 0.018, 0.760)
Ni (0.509, 0.491, 0.760)
Ni (0.635, 0.818, 0.066)
Ni (0.660, 0.000, 0.500)
Ni (0.660, 0.660, 0.500)
Ni (0.667, 0.333, 0.097)
Ni (0.667, 0.333, 0.614)
Ni (0.720, 0.860, 0.794)
Ni (0.818, 0.182, 0.934)
Ni (0.818, 0.635, 0.934)
Ni (0.860, 0.140, 0.206)
Ni (0.860, 0.720, 0.206)
Ni (0.982, 0.491, 0.760)
P (0.000, 0.500, 0.000)
P (0.165, 0.330, 0.309)
P (0.165, 0.835, 0.309)
P (0.330, 0.165, 0.691)
P (0.500, 0.000, 0.000)
P (0.500, 0.500, 0.000)
P (0.670, 0.835, 0.309)
P (0.835, 0.165, 0.691)
P (0.835, 0.670, 0.691)

(2)
Theoretical XRD peak list
Compound: ZnNi4P2
Radiation: Cu Kα X-rays
Structure: a PBE-relaxed structure

Principal peaks in the range 15 to 90 degrees two-theta, low angle first:
- 2θ = 20.1°, I = 30
- 2θ = 30.3°, I = 34
- 2θ = 37.2°, I = 24
- 2θ = 41.3°, I = 37
- 2θ = 43.5°, I = 100
- 2θ = 43.7°, I = 93
- 2θ = 44.8°, I = 47
- 2θ = 47.8°, I = 30
- 2θ = 48.7°, I = 45
- 2θ = 52.8°, I = 25
- 2θ = 56.2°, I = 33
- 2θ = 77.5°, I = 23

Cell: 6.585 6.585 6.585 Å, 110.72 86.07 135.62°
Atoms (fractional coordinates):
Zn (0.174, 0.250, 0.424)
Zn (0.826, 0.750, 0.576)
Ni (0.023, 0.690, 0.833)
Ni (0.416, 0.100, 0.241)
Ni (0.416, 0.675, 0.816)
Ni (0.441, 0.256, 0.685)
Ni (0.571, 0.756, 0.315)
Ni (0.858, 0.190, 0.167)
Ni (0.859, 0.175, 0.759)
Ni (0.859, 0.600, 0.184)
P (0.196, 0.599, 0.097)
P (0.502, 0.099, 0.903)
P (0.743, 0.243, 0.500)
P (0.743, 0.743, 0.000)

(3)
Theoretical XRD peak list
Compound: Zr2Ni5P3
Radiation: Cu Kα X-rays
Structure: a PBE-relaxed structure

Principal peaks in the range 15 to 90 degrees two-theta, low angle first:
- 2θ = 37.6°, I = 32
- 2θ = 39.3°, I = 100
- 2θ = 39.7°, I = 77
- 2θ = 43.0°, I = 35
- 2θ = 43.7°, I = 28
- 2θ = 46.5°, I = 25
- 2θ = 48.2°, I = 41
- 2θ = 50.2°, I = 12
- 2θ = 66.6°, I = 18
- 2θ = 69.2°, I = 15
- 2θ = 76.1°, I = 23
- 2θ = 83.9°, I = 14

Cell: 11.313 11.313 6.254 Å, 90.00 90.00 160.80°
Atoms (fractional coordinates):
Zr (0.024, 0.976, 0.500)
Zr (0.324, 0.676, 0.526)
Zr (0.676, 0.324, 0.026)
Zr (0.976, 0.024, 0.000)
Ni (0.095, 0.905, 0.882)
Ni (0.210, 0.790, 0.341)
Ni (0.211, 0.789, 0.739)
Ni (0.372, 0.628, 0.024)
Ni (0.443, 0.557, 0.669)
Ni (0.557, 0.443, 0.169)
Ni (0.628, 0.372, 0.524)
Ni (0.789, 0.211, 0.239)
Ni (0.790, 0.210, 0.841)
Ni (0.905, 0.095, 0.382)
P (0.113, 0.887, 0.248)
P (0.269, 0.731, 0.041)
P (0.452, 0.548, 0.286)
P (0.548, 0.452, 0.786)
P (0.731, 0.269, 0.541)
P (0.887, 0.113, 0.748)

(4)
Theoretical XRD peak list
Compound: Zr2Ni21P6
Radiation: Cu Kα X-rays
Structure: a PBE-relaxed structure

Principal peaks in the range 15 to 90 degrees two-theta, low angle first:
- 2θ = 36.1°, I = 26
- 2θ = 39.7°, I = 28
- 2θ = 42.2°, I = 100
- 2θ = 46.2°, I = 40
- 2θ = 48.4°, I = 29
- 2θ = 49.2°, I = 8
- 2θ = 54.8°, I = 19
- 2θ = 69.7°, I = 7
- 2θ = 72.1°, I = 25
- 2θ = 73.8°, I = 12
- 2θ = 85.6°, I = 20
- 2θ = 87.2°, I = 7

Cell: 7.864 7.864 7.864 Å, 60.00 60.00 60.00°
Atoms (fractional coordinates):
Zr (0.250, 0.250, 0.250)
Zr (0.750, 0.750, 0.750)
Ni (0.000, 0.000, 0.000)
Ni (0.000, 0.000, 0.350)
Ni (0.000, 0.000, 0.650)
Ni (0.000, 0.350, 0.000)
Ni (0.000, 0.350, 0.650)
Ni (0.000, 0.650, 0.000)
Ni (0.000, 0.650, 0.350)
Ni (0.155, 0.615, 0.615)
Ni (0.350, 0.000, 0.000)
Ni (0.350, 0.000, 0.650)
Ni (0.350, 0.650, 0.000)
Ni (0.385, 0.385, 0.385)
Ni (0.385, 0.385, 0.845)
Ni (0.385, 0.845, 0.385)
Ni (0.615, 0.155, 0.615)
Ni (0.615, 0.615, 0.155)
Ni (0.615, 0.615, 0.615)
Ni (0.650, 0.000, 0.000)
Ni (0.650, 0.000, 0.350)
Ni (0.650, 0.350, 0.000)
Ni (0.845, 0.385, 0.385)
P (0.260, 0.260, 0.740)
P (0.260, 0.740, 0.260)
P (0.260, 0.740, 0.740)
P (0.740, 0.260, 0.260)
P (0.740, 0.260, 0.740)
P (0.740, 0.740, 0.260)

(5)
Theoretical XRD peak list
Compound: Pa5Ni6
Radiation: Cu Kα X-rays
Structure: a PBE-relaxed structure

Principal peaks in the range 15 to 90 degrees two-theta, low angle first:
- 2θ = 27.3°, I = 52
- 2θ = 29.9°, I = 25
- 2θ = 35.5°, I = 62
- 2θ = 36.0°, I = 100
- 2θ = 40.5°, I = 32
- 2θ = 40.9°, I = 14
- 2θ = 46.7°, I = 23
- 2θ = 53.4°, I = 35
- 2θ = 60.0°, I = 27
- 2θ = 62.1°, I = 13
- 2θ = 69.1°, I = 13
- 2θ = 81.1°, I = 13

Cell: 15.071 15.071 3.432 Å, 90.00 90.00 165.16°
Atoms (fractional coordinates):
Pa (0.000, 0.000, 0.000)
Pa (0.194, 0.806, 0.500)
Pa (0.382, 0.618, 0.000)
Pa (0.618, 0.382, 0.000)
Pa (0.806, 0.194, 0.500)
Ni (0.091, 0.909, 0.500)
Ni (0.276, 0.724, 0.000)
Ni (0.460, 0.540, 0.500)
Ni (0.540, 0.460, 0.500)
Ni (0.724, 0.276, 0.000)
Ni (0.909, 0.091, 0.500)

(6)
Theoretical XRD peak list
Compound: Pa3Ni4
Radiation: Cu Kα X-rays
Structure: a PBE-relaxed structure

Principal peaks in the range 15 to 90 degrees two-theta, low angle first:
- 2θ = 26.2°, I = 57
- 2θ = 29.6°, I = 47
- 2θ = 31.6°, I = 34
- 2θ = 33.2°, I = 46
- 2θ = 35.5°, I = 46
- 2θ = 36.4°, I = 99
- 2θ = 37.6°, I = 100
- 2θ = 39.9°, I = 39
- 2θ = 41.7°, I = 30
- 2θ = 51.3°, I = 32
- 2θ = 55.0°, I = 34
- 2θ = 55.4°, I = 28

Cell: 5.443 5.443 13.570 Å, 90.00 90.00 141.79°
Atoms (fractional coordinates):
Pa (0.044, 0.956, 0.750)
Pa (0.332, 0.668, 0.595)
Pa (0.332, 0.668, 0.905)
Pa (0.668, 0.332, 0.095)
Pa (0.668, 0.332, 0.405)
Pa (0.956, 0.044, 0.250)
Ni (0.000, 0.000, 0.000)
Ni (0.000, 0.000, 0.500)
Ni (0.229, 0.771, 0.250)
Ni (0.384, 0.616, 0.105)
Ni (0.384, 0.616, 0.395)
Ni (0.616, 0.384, 0.605)
Ni (0.616, 0.384, 0.895)
Ni (0.771, 0.229, 0.750)

(7)
Theoretical XRD peak list
Compound: Pa3Ni7
Radiation: Cu Kα X-rays
Structure: a PBE-relaxed structure

Principal peaks in the range 15 to 90 degrees two-theta, low angle first:
- 2θ = 20.7°, I = 13
- 2θ = 28.9°, I = 27
- 2θ = 33.5°, I = 23
- 2θ = 33.7°, I = 100
- 2θ = 36.4°, I = 45
- 2θ = 41.1°, I = 19
- 2θ = 42.4°, I = 14
- 2θ = 46.5°, I = 16
- 2θ = 54.2°, I = 14
- 2θ = 54.4°, I = 18
- 2θ = 70.2°, I = 18
- 2θ = 71.0°, I = 18

Cell: 6.339 6.339 6.169 Å, 90.00 90.00 139.45°
Atoms (fractional coordinates):
Pa (0.000, 0.000, 0.000)
Pa (0.158, 0.842, 0.500)
Pa (0.842, 0.158, 0.500)
Ni (0.000, 0.500, 0.000)
Ni (0.389, 0.611, 0.202)
Ni (0.389, 0.611, 0.798)
Ni (0.500, 0.000, 0.000)
Ni (0.500, 0.500, 0.500)
Ni (0.611, 0.389, 0.202)
Ni (0.611, 0.389, 0.798)

(8)
Theoretical XRD peak list
Compound: Pa2Ni2PbS6
Radiation: Cu Kα X-rays
Structure: a PBE-relaxed structure

Principal peaks in the range 15 to 90 degrees two-theta, low angle first:
- 2θ = 15.3°, I = 97
- 2θ = 24.3°, I = 27
- 2θ = 25.0°, I = 37
- 2θ = 25.5°, I = 43
- 2θ = 28.1°, I = 21
- 2θ = 28.8°, I = 39
- 2θ = 29.6°, I = 100
- 2θ = 38.5°, I = 21
- 2θ = 39.2°, I = 27
- 2θ = 40.2°, I = 25
- 2θ = 45.0°, I = 21
- 2θ = 54.5°, I = 25

Cell: 6.991 7.003 7.146 Å, 62.39 89.58 60.10°
Atoms (fractional coordinates):
Pa (0.008, 0.160, 0.171)
Pa (0.992, 0.840, 0.829)
Ni (0.433, 0.373, 0.160)
Ni (0.567, 0.627, 0.840)
Pb (0.000, 0.500, 0.500)
S (0.247, 0.699, 0.206)
S (0.250, 0.340, 0.940)
S (0.251, 0.968, 0.576)
S (0.749, 0.032, 0.424)
S (0.750, 0.660, 0.060)
S (0.753, 0.301, 0.794)

(9)
Theoretical XRD peak list
Compound: Pa2Si3Ni12Pd
Radiation: Cu Kα X-rays
Structure: a PBE-relaxed structure

Principal peaks in the range 15 to 90 degrees two-theta, low angle first:
- 2θ = 21.1°, I = 22
- 2θ = 22.3°, I = 37
- 2θ = 30.9°, I = 70
- 2θ = 43.0°, I = 100
- 2θ = 43.6°, I = 28
- 2θ = 45.3°, I = 34
- 2θ = 48.9°, I = 28
- 2θ = 50.6°, I = 18
- 2θ = 62.9°, I = 19
- 2θ = 64.3°, I = 23
- 2θ = 76.6°, I = 11
- 2θ = 78.8°, I = 15

Cell: 6.291 6.291 6.291 Å, 83.97 83.97 83.97°
Atoms (fractional coordinates):
Pa (0.161, 0.161, 0.161)
Pa (0.839, 0.839, 0.839)
Si (0.000, 0.500, 0.500)
Si (0.500, 0.000, 0.500)
Si (0.500, 0.500, 0.000)
Ni (0.115, 0.115, 0.596)
Ni (0.115, 0.596, 0.115)
Ni (0.185, 0.697, 0.697)
Ni (0.303, 0.303, 0.815)
Ni (0.303, 0.815, 0.303)
Ni (0.404, 0.885, 0.885)
Ni (0.596, 0.115, 0.115)
Ni (0.697, 0.185, 0.697)
Ni (0.697, 0.697, 0.185)
Ni (0.815, 0.303, 0.303)
Ni (0.885, 0.404, 0.885)
Ni (0.885, 0.885, 0.404)
Pd (0.500, 0.500, 0.500)

(10)
Theoretical XRD peak list
Compound: ZrPaNiPd
Radiation: Cu Kα X-rays
Structure: a PBE-relaxed structure

Principal peaks in the range 15 to 90 degrees two-theta, low angle first:
- 2θ = 22.8°, I = 18
- 2θ = 26.4°, I = 11
- 2θ = 37.6°, I = 100
- 2θ = 44.5°, I = 10
- 2θ = 46.5°, I = 3
- 2θ = 54.3°, I = 17
- 2θ = 59.6°, I = 5
- 2θ = 61.3°, I = 5
- 2θ = 67.9°, I = 35
- 2θ = 72.7°, I = 4
- 2θ = 80.4°, I = 11
- 2θ = 84.9°, I = 4

Cell: 4.779 4.779 4.779 Å, 60.00 60.00 60.00°
Atoms (fractional coordinates):
Zr (0.000, 0.000, 0.000)
Pa (0.500, 0.500, 0.500)
Ni (0.750, 0.750, 0.750)
Pd (0.250, 0.250, 0.250)

(11)
Theoretical XRD peak list
Compound: Pr2Pa2Ni15
Radiation: Cu Kα X-rays
Structure: a PBE-relaxed structure

Principal peaks in the range 15 to 90 degrees two-theta, low angle first:
- 2θ = 20.8°, I = 36
- 2θ = 30.2°, I = 47
- 2θ = 36.4°, I = 61
- 2θ = 36.9°, I = 55
- 2θ = 42.2°, I = 100
- 2θ = 42.7°, I = 60
- 2θ = 47.3°, I = 16
- 2θ = 47.5°, I = 36
- 2θ = 52.8°, I = 17
- 2θ = 61.7°, I = 21
- 2θ = 76.8°, I = 17
- 2θ = 77.3°, I = 20

Cell: 6.550 6.550 6.550 Å, 81.51 81.51 81.51°
Atoms (fractional coordinates):
Pr (0.140, 0.140, 0.140)
Pr (0.860, 0.860, 0.860)
Pa (0.391, 0.391, 0.391)
Pa (0.609, 0.609, 0.609)
Ni (0.000, 0.500, 0.500)
Ni (0.157, 0.157, 0.658)
Ni (0.157, 0.658, 0.157)
Ni (0.195, 0.500, 0.805)
Ni (0.195, 0.805, 0.500)
Ni (0.342, 0.843, 0.843)
Ni (0.500, 0.000, 0.500)
Ni (0.500, 0.195, 0.805)
Ni (0.500, 0.500, 0.000)
Ni (0.500, 0.805, 0.195)
Ni (0.658, 0.157, 0.157)
Ni (0.805, 0.195, 0.500)
Ni (0.805, 0.500, 0.195)
Ni (0.843, 0.342, 0.843)
Ni (0.843, 0.843, 0.342)

(12)
Theoretical XRD peak list
Compound: PrPaNi
Radiation: Cu Kα X-rays
Structure: a PBE-relaxed structure

Principal peaks in the range 15 to 90 degrees two-theta, low angle first:
- 2θ = 15.3°, I = 21
- 2θ = 26.4°, I = 43
- 2θ = 31.0°, I = 25
- 2θ = 34.4°, I = 100
- 2θ = 35.9°, I = 62
- 2θ = 48.1°, I = 30
- 2θ = 51.7°, I = 22
- 2θ = 61.5°, I = 14
- 2θ = 62.1°, I = 24
- 2θ = 63.6°, I = 34
- 2θ = 84.9°, I = 20
- 2θ = 87.2°, I = 12

Cell: 6.295 6.295 6.295 Å, 147.38 147.38 46.79°
Atoms (fractional coordinates):
Pr (0.000, 0.000, 0.000)
Pa (0.713, 0.713, 0.000)
Ni (0.301, 0.301, 0.000)